(1)
This entry pairs a crystal structure of Fe5SiB2 with its calculated PXRD pattern. Radiation: Cu Ka. Structure: the PBE geometry in the Materials Project.

Unit cell a=6.4494 b=6.4494 c=6.4494 alpha=129.43 beta=129.43 gamma=74.32
Atoms (fractional coordinates):
1 Fe 0.0000 0.0000 0.0000
2 Fe 0.0327 0.5327 0.8377
3 Fe 0.1949 0.0327 0.5000
4 Fe 0.3051 0.8051 0.8377
5 Fe 0.4673 0.3051 0.5000
6 Fe 0.5000 0.5000 0.0000
7 Fe 0.5327 0.6949 0.5000
8 Fe 0.6949 0.1949 0.1623
9 Fe 0.8051 0.9673 0.5000
10 Fe 0.9673 0.4673 0.1623
11 Si 0.2500 0.2500 0.0000
12 Si 0.7500 0.7500 0.0000
13 B 0.1196 0.3804 0.5000
14 B 0.3804 0.8804 0.2609
15 B 0.6196 0.1196 0.7391
16 B 0.8804 0.6196 0.5000

Peak list (10 most intense, 2θ from 15° to 90°, in order of rising 2θ)
| Position (°2θ) | intensity |
| --- | --- |
| 34.9 | 17 |
| 37.5 | 78 |
| 42.1 | 45 |
| 45.3 | 100 |
| 46.6 | 21 |
| 48.4 | 70 |
| 52.5 | 55 |
| 75.3 | 19 |
| 76.5 | 17 |
| 83.4 | 28 |

---

(2)
This entry pairs a crystal structure of Li2FeS2 with its calculated PXRD pattern. Radiation: Cu Ka. Structure: the PBE geometry in the Materials Project.

Unit cell a=6.7127 b=6.3828 c=8.1192 alpha=90.00 beta=92.83 gamma=90.00
Atoms (fractional coordinates):
1 Li 0.0308 0.0102 0.1808
2 Li 0.0308 0.4898 0.6808
3 Li 0.3849 0.1440 0.7715
4 Li 0.3849 0.3560 0.2715
5 Li 0.6151 0.6440 0.7285
6 Li 0.6151 0.8560 0.2285
7 Li 0.9692 0.5102 0.3192
8 Li 0.9692 0.9898 0.8192
9 Fe 0.1506 0.6182 0.0075
10 Fe 0.1506 0.8818 0.5075
11 Fe 0.8494 0.1182 0.4925
12 Fe 0.8494 0.3818 0.9925
13 S 0.1878 0.2393 0.5016
14 S 0.1878 0.2607 0.0016
15 S 0.2761 0.7333 0.2657
16 S 0.2761 0.7667 0.7657
17 S 0.7239 0.2333 0.2343
18 S 0.7239 0.2667 0.7343
19 S 0.8122 0.7393 0.9984
20 S 0.8122 0.7607 0.4984

Peak list (10 most intense, 2θ from 15° to 90°, in order of rising 2θ)
| Position (°2θ) | intensity |
| --- | --- |
| 17.7 | 100 |
| 19.2 | 45 |
| 21.8 | 32 |
| 21.9 | 42 |
| 25.1 | 31 |
| 26.2 | 31 |
| 26.6 | 49 |
| 44.7 | 41 |
| 50.0 | 30 |
| 50.6 | 31 |

---

(3)
This entry pairs a crystal structure of Y5In4Pd2 with its calculated PXRD pattern. Radiation: Cu Ka. Structure: the PBE geometry in the Materials Project.

Unit cell a=8.1220 b=18.3698 c=3.6623 alpha=90.00 beta=90.00 gamma=90.00
Atoms (fractional coordinates):
1 Y 0.0000 0.0000 0.0000
2 Y 0.1195 0.4186 0.0000
3 Y 0.2404 0.2184 0.0000
4 Y 0.2596 0.7184 0.0000
5 Y 0.3805 0.9186 0.0000
6 Y 0.5000 0.5000 0.0000
7 Y 0.6195 0.0814 0.0000
8 Y 0.7403 0.2816 0.0000
9 Y 0.7597 0.7816 0.0000
10 Y 0.8805 0.5814 0.0000
11 In 0.0789 0.8497 0.5000
12 In 0.2096 0.5682 0.5000
13 In 0.2904 0.0682 0.5000
14 In 0.4211 0.3497 0.5000
15 In 0.5789 0.6503 0.5000
16 In 0.7096 0.9318 0.5000
17 In 0.7904 0.4318 0.5000
18 In 0.9211 0.1503 0.5000
19 Pd 0.0262 0.3050 0.5000
20 Pd 0.4738 0.8050 0.5000
21 Pd 0.5262 0.1950 0.5000
22 Pd 0.9738 0.6950 0.5000

Peak list (10 most intense, 2θ from 15° to 90°, in order of rising 2θ)
| Position (°2θ) | intensity |
| --- | --- |
| 31.2 | 36 |
| 33.2 | 99 |
| 33.3 | 19 |
| 34.4 | 100 |
| 34.5 | 51 |
| 36.0 | 44 |
| 36.1 | 33 |
| 36.3 | 48 |
| 36.8 | 32 |
| 49.8 | 31 |

---

(4)
This entry pairs a crystal structure of Mg14CoW with its calculated PXRD pattern. Radiation: Cu Ka. Structure: the PBE geometry in the Materials Project.

Unit cell a=6.1753 b=6.1753 c=9.7729 alpha=90.00 beta=90.00 gamma=120.00
Atoms (fractional coordinates):
1 Mg 0.0000 0.0000 0.2466
2 Mg 0.0000 0.0000 0.7534
3 Mg 0.0210 0.5105 0.2529
4 Mg 0.0210 0.5105 0.7471
5 Mg 0.3330 0.1665 0.5000
6 Mg 0.3374 0.1687 0.0000
7 Mg 0.4895 0.5105 0.2529
8 Mg 0.4895 0.5105 0.7471
9 Mg 0.4895 0.9790 0.2529
10 Mg 0.4895 0.9790 0.7471
11 Mg 0.8313 0.1687 0.0000
12 Mg 0.8313 0.6626 0.0000
13 Mg 0.8335 0.1665 0.5000
14 Mg 0.8335 0.6670 0.5000
15 Co 0.3333 0.6667 0.5000
16 W 0.3333 0.6667 0.0000

Peak list (10 most intense, 2θ from 15° to 90°, in order of rising 2θ)
| Position (°2θ) | intensity |
| --- | --- |
| 16.6 | 59 |
| 18.9 | 28 |
| 24.7 | 36 |
| 33.5 | 31 |
| 34.4 | 17 |
| 36.8 | 24 |
| 38.4 | 100 |
| 50.6 | 19 |
| 67.3 | 18 |
| 72.4 | 18 |

---

(5)
This entry pairs a crystal structure of LaCd3 with its calculated PXRD pattern. Radiation: Cu Ka. Structure: the PBE geometry in the Materials Project.

Unit cell a=7.4444 b=7.4444 c=7.4444 alpha=90.00 beta=90.00 gamma=90.00
Atoms (fractional coordinates):
1 La 0.0000 0.0000 0.0000
2 La 0.0000 0.5000 0.5000
3 La 0.5000 0.0000 0.5000
4 La 0.5000 0.5000 0.0000
5 Cd 0.0000 0.0000 0.5000
6 Cd 0.0000 0.5000 0.0000
7 Cd 0.2500 0.2500 0.2500
8 Cd 0.2500 0.2500 0.7500
9 Cd 0.2500 0.7500 0.2500
10 Cd 0.2500 0.7500 0.7500
11 Cd 0.5000 0.0000 0.0000
12 Cd 0.5000 0.5000 0.5000
13 Cd 0.7500 0.2500 0.2500
14 Cd 0.7500 0.2500 0.7500
15 Cd 0.7500 0.7500 0.2500
16 Cd 0.7500 0.7500 0.7500

Peak list (5 most intense, 2θ from 15° to 90°, in order of rising 2θ)
| Position (°2θ) | intensity |
| --- | --- |
| 34.1 | 100 |
| 48.9 | 18 |
| 61.0 | 35 |
| 71.7 | 11 |
| 81.8 | 15 |

---

(6)
This entry pairs a crystal structure of Hf3Ni with its calculated PXRD pattern. Radiation: Cu Ka. Structure: the PBE geometry in the Materials Project.

Unit cell a=5.9240 b=5.9240 c=4.9949 alpha=90.00 beta=90.00 gamma=120.00
Atoms (fractional coordinates):
1 Hf 0.1718 0.3437 0.2500
2 Hf 0.1718 0.8282 0.2500
3 Hf 0.3437 0.1718 0.7500
4 Hf 0.6563 0.8282 0.2500
5 Hf 0.8282 0.1718 0.7500
6 Hf 0.8282 0.6563 0.7500
7 Ni 0.3333 0.6667 0.7500
8 Ni 0.6667 0.3333 0.2500

Peak list (10 most intense, 2θ from 15° to 90°, in order of rising 2θ)
| Position (°2θ) | intensity |
| --- | --- |
| 24.9 | 14 |
| 30.2 | 5 |
| 35.0 | 23 |
| 36.0 | 29 |
| 39.5 | 100 |
| 51.0 | 16 |
| 62.7 | 17 |
| 67.0 | 21 |
| 74.5 | 20 |
| 76.7 | 14 |

---

(7)
This entry pairs a crystal structure of RbNd2Br5 with its calculated PXRD pattern. Radiation: Cu Ka. Structure: the PBE geometry in the Materials Project.

Unit cell a=9.4000 b=7.6439 c=14.1583 alpha=90.00 beta=90.32 gamma=90.00
Atoms (fractional coordinates):
1 Rb 0.0004 0.0702 0.1635
2 Rb 0.0004 0.4298 0.6635
3 Rb 0.9996 0.5702 0.3365
4 Rb 0.9996 0.9298 0.8365
5 Nd 0.3015 0.5332 0.9985
6 Nd 0.3015 0.9668 0.4985
7 Nd 0.4933 0.1028 0.1587
8 Nd 0.4933 0.3972 0.6587
9 Nd 0.5067 0.6028 0.3413
10 Nd 0.5067 0.8972 0.8413
11 Nd 0.6985 0.0332 0.5015
12 Nd 0.6985 0.4668 0.0015
13 Br 0.0275 0.1706 0.4222
14 Br 0.0275 0.3294 0.9222
15 Br 0.2633 0.1379 0.6889
16 Br 0.2633 0.3621 0.1889
17 Br 0.2697 0.6551 0.7909
18 Br 0.2697 0.8449 0.2909
19 Br 0.2944 0.5494 0.4989
20 Br 0.2944 0.9506 0.9989
21 Br 0.4756 0.1932 0.3694
22 Br 0.4756 0.3068 0.8694
23 Br 0.5244 0.6932 0.1306
24 Br 0.5244 0.8068 0.6306
25 Br 0.7056 0.0494 0.0011
26 Br 0.7056 0.4506 0.5011
27 Br 0.7303 0.1551 0.7091
28 Br 0.7303 0.3449 0.2091
29 Br 0.7367 0.6379 0.8111
30 Br 0.7367 0.8621 0.3111
31 Br 0.9725 0.6706 0.0778
32 Br 0.9725 0.8294 0.5778

Peak list (10 most intense, 2θ from 15° to 90°, in order of rising 2θ)
| Position (°2θ) | intensity |
| --- | --- |
| 22.1 | 18 |
| 23.1 | 22 |
| 27.8 | 31 |
| 29.3 | 19 |
| 30.1 | 21 |
| 30.8 | 100 |
| 31.6 | 44 |
| 31.7 | 31 |
| 32.7 | 36 |
| 38.3 | 36 |

---

Repeat the first record exactly.
This entry pairs a crystal structure of Fe5SiB2 with its calculated PXRD pattern. Radiation: Cu Ka. Structure: the PBE geometry in the Materials Project.

Unit cell a=6.4494 b=6.4494 c=6.4494 alpha=129.43 beta=129.43 gamma=74.32
Atoms (fractional coordinates):
1 Fe 0.0000 0.0000 0.0000
2 Fe 0.0327 0.5327 0.8377
3 Fe 0.1949 0.0327 0.5000
4 Fe 0.3051 0.8051 0.8377
5 Fe 0.4673 0.3051 0.5000
6 Fe 0.5000 0.5000 0.0000
7 Fe 0.5327 0.6949 0.5000
8 Fe 0.6949 0.1949 0.1623
9 Fe 0.8051 0.9673 0.5000
10 Fe 0.9673 0.4673 0.1623
11 Si 0.2500 0.2500 0.0000
12 Si 0.7500 0.7500 0.0000
13 B 0.1196 0.3804 0.5000
14 B 0.3804 0.8804 0.2609
15 B 0.6196 0.1196 0.7391
16 B 0.8804 0.6196 0.5000

Peak list (10 most intense, 2θ from 15° to 90°, in order of rising 2θ)
| Position (°2θ) | intensity |
| --- | --- |
| 34.9 | 17 |
| 37.5 | 78 |
| 42.1 | 45 |
| 45.3 | 100 |
| 46.6 | 21 |
| 48.4 | 70 |
| 52.5 | 55 |
| 75.3 | 19 |
| 76.5 | 17 |
| 83.4 | 28 |